1.
Diffraction record for RbCd12Sn6. The X-ray diffraction stick pattern is simulated, not measured: it uses DFT lattice parameters and positions (PBE) and Cu Kα.

Principal peaks in the range 2θ = 10–80°, most intense first:
| 2θ (°) | intensity |
| --- | --- |
| 30.93 | 1000 |
| 28.36 | 902 |
| 42.10 | 716 |
| 35.31 | 526 |
| 40.84 | 461 |
| 34.19 | 356 |
| 25.68 | 324 |
| 63.70 | 313 |
| 38.43 | 313 |
| 37.68 | 304 |

Structure:
```
data_RbCd12Sn6
_space_group_name_H-M_alt 'P 1'
_space_group_IT_number 1
_cell_length_a 8.6201
_cell_length_b 8.6201
_cell_length_c 8.6201
_cell_angle_alpha 107.21
_cell_angle_beta 107.21
_cell_angle_gamma 107.21
loop_
_space_group_symop_operation_xyz
'x,y,z'
loop_
_atom_site_label
_atom_site_type_symbol
_atom_site_fract_x
_atom_site_fract_y
_atom_site_fract_z
Rb1 Rb 0.0000 0.0000 0.0000
Cd1 Cd 0.1017 0.5000 0.8983
Cd2 Cd 0.1017 0.8983 0.5000
Cd3 Cd 0.1954 0.4123 0.4123
Cd4 Cd 0.4123 0.1954 0.4123
Cd5 Cd 0.4123 0.4123 0.1954
Cd6 Cd 0.5000 0.1017 0.8983
Cd7 Cd 0.5000 0.8983 0.1017
Cd8 Cd 0.5877 0.5877 0.8046
Cd9 Cd 0.5877 0.8046 0.5877
Cd10 Cd 0.8046 0.5877 0.5877
Cd11 Cd 0.8983 0.1017 0.5000
Cd12 Cd 0.8983 0.5000 0.1017
Sn1 Sn 0.2176 0.7071 0.7071
Sn2 Sn 0.2929 0.2929 0.7824
Sn3 Sn 0.2929 0.7824 0.2929
Sn4 Sn 0.7071 0.2176 0.7071
Sn5 Sn 0.7071 0.7071 0.2176
Sn6 Sn 0.7824 0.2929 0.2929
```

2.
Diffraction record for Rb2CdSn6. The X-ray diffraction stick pattern is simulated, not measured: it uses DFT lattice parameters and positions (PBE) and Cu Kα.

Principal peaks in the range 2θ = 10–80°, most intense first:
| 2θ (°) | intensity |
| --- | --- |
| 30.91 | 1000 |
| 29.41 | 683 |
| 34.82 | 619 |
| 50.45 | 403 |
| 27.65 | 385 |
| 32.20 | 356 |
| 31.90 | 353 |
| 36.64 | 334 |
| 54.14 | 236 |
| 14.98 | 214 |

Structure:
```
data_Rb2CdSn6
_space_group_name_H-M_alt 'P 1'
_space_group_IT_number 1
_cell_length_a 7.2613
_cell_length_b 7.2613
_cell_length_c 7.3449
_cell_angle_alpha 106.85
_cell_angle_beta 106.85
_cell_angle_gamma 55.60
loop_
_space_group_symop_operation_xyz
'x,y,z'
loop_
_atom_site_label
_atom_site_type_symbol
_atom_site_fract_x
_atom_site_fract_y
_atom_site_fract_z
Rb1 Rb 0.1502 0.1502 0.3631
Rb2 Rb 0.8498 0.8498 0.6369
Cd1 Cd 0.5000 0.5000 0.5000
Sn1 Sn 0.0913 0.6335 0.1584
Sn2 Sn 0.3665 0.9087 0.8416
Sn3 Sn 0.3865 0.3865 0.8495
Sn4 Sn 0.6135 0.6135 0.1505
Sn5 Sn 0.6335 0.0913 0.1584
Sn6 Sn 0.9087 0.3665 0.8416
```

3.
Diffraction record for Rb2Cd5Sn3. The X-ray diffraction stick pattern is simulated, not measured: it uses DFT lattice parameters and positions (PBE) and Cu Kα.

Principal peaks in the range 2θ = 10–80°, most intense first:
| 2θ (°) | intensity |
| --- | --- |
| 28.67 | 1000 |
| 34.96 | 832 |
| 38.72 | 584 |
| 28.11 | 551 |
| 45.45 | 293 |
| 50.28 | 292 |
| 58.91 | 254 |
| 65.21 | 246 |
| 41.19 | 246 |
| 55.11 | 208 |

Structure:
```
data_Rb2Cd5Sn3
_space_group_name_H-M_alt 'P 1'
_space_group_IT_number 1
_cell_length_a 5.1328
_cell_length_b 5.1328
_cell_length_c 12.1170
_cell_angle_alpha 90.00
_cell_angle_beta 90.00
_cell_angle_gamma 90.00
loop_
_space_group_symop_operation_xyz
'x,y,z'
loop_
_atom_site_label
_atom_site_type_symbol
_atom_site_fract_x
_atom_site_fract_y
_atom_site_fract_z
Rb1 Rb 0.0000 0.5000 0.2484
Rb2 Rb 0.5000 0.0000 0.7516
Cd1 Cd 0.0000 0.0000 0.0000
Cd2 Cd 0.0000 0.0000 0.5000
Cd3 Cd 0.0000 0.5000 0.8780
Cd4 Cd 0.5000 0.0000 0.1220
Cd5 Cd 0.5000 0.5000 0.0000
Sn1 Sn 0.0000 0.5000 0.6355
Sn2 Sn 0.5000 0.0000 0.3645
Sn3 Sn 0.5000 0.5000 0.5000
```

4.
Diffraction record for RbCdTcSn2. The X-ray diffraction stick pattern is simulated, not measured: it uses DFT lattice parameters and positions (PBE) and Cu Kα.

Principal peaks in the range 2θ = 10–80°, most intense first:
| 2θ (°) | intensity |
| --- | --- |
| 29.22 | 1000 |
| 34.56 | 812 |
| 48.14 | 634 |
| 32.46 | 480 |
| 60.60 | 318 |
| 49.67 | 300 |
| 58.68 | 284 |
| 17.08 | 265 |
| 16.07 | 175 |
| 55.93 | 167 |

Structure:
```
data_RbCdTcSn2
_space_group_name_H-M_alt 'P 1'
_space_group_IT_number 1
_cell_length_a 5.1912
_cell_length_b 5.1912
_cell_length_c 5.5158
_cell_angle_alpha 90.00
_cell_angle_beta 90.00
_cell_angle_gamma 90.00
loop_
_space_group_symop_operation_xyz
'x,y,z'
loop_
_atom_site_label
_atom_site_type_symbol
_atom_site_fract_x
_atom_site_fract_y
_atom_site_fract_z
Rb1 Rb 0.0000 0.0000 0.0000
Cd1 Cd 0.5000 0.5000 0.0000
Tc1 Tc 0.5000 0.5000 0.5000
Sn1 Sn 0.0000 0.5000 0.5000
Sn2 Sn 0.5000 0.0000 0.5000
```

5.
Diffraction record for RbSrTlCd. The X-ray diffraction stick pattern is simulated, not measured: it uses DFT lattice parameters and positions (PBE) and Cu Kα.

Principal peaks in the range 2θ = 10–80°, most intense first:
| 2θ (°) | intensity |
| --- | --- |
| 29.85 | 1000 |
| 52.99 | 397 |
| 42.72 | 187 |
| 70.33 | 169 |
| 62.01 | 123 |
| 20.99 | 93 |
| 18.15 | 62 |
| 48.06 | 45 |
| 78.23 | 42 |
| 35.16 | 38 |

Structure:
```
data_RbSrTlCd
_space_group_name_H-M_alt 'P 1'
_space_group_IT_number 1
_cell_length_a 8.4657
_cell_length_b 8.4657
_cell_length_c 8.4657
_cell_angle_alpha 90.00
_cell_angle_beta 90.00
_cell_angle_gamma 90.00
loop_
_space_group_symop_operation_xyz
'x,y,z'
loop_
_atom_site_label
_atom_site_type_symbol
_atom_site_fract_x
_atom_site_fract_y
_atom_site_fract_z
Rb1 Rb 0.0000 0.0000 0.0000
Rb2 Rb 0.0000 0.5000 0.5000
Rb3 Rb 0.5000 0.0000 0.5000
Rb4 Rb 0.5000 0.5000 0.0000
Sr1 Sr 0.0000 0.0000 0.5000
Sr2 Sr 0.0000 0.5000 0.0000
Sr3 Sr 0.5000 0.0000 0.0000
Sr4 Sr 0.5000 0.5000 0.5000
Tl1 Tl 0.2500 0.2500 0.7500
Tl2 Tl 0.2500 0.7500 0.2500
Tl3 Tl 0.7500 0.2500 0.2500
Tl4 Tl 0.7500 0.7500 0.7500
Cd1 Cd 0.2500 0.2500 0.2500
Cd2 Cd 0.2500 0.7500 0.7500
Cd3 Cd 0.7500 0.2500 0.7500
Cd4 Cd 0.7500 0.7500 0.2500
```

6.
Diffraction record for Rb2CdTe3. The X-ray diffraction stick pattern is simulated, not measured: it uses DFT lattice parameters and positions (PBE) and Cu Kα.

Principal peaks in the range 2θ = 10–80°, most intense first:
| 2θ (°) | intensity |
| --- | --- |
| 28.92 | 1000 |
| 27.31 | 973 |
| 24.88 | 858 |
| 36.17 | 787 |
| 36.58 | 659 |
| 11.61 | 585 |
| 39.87 | 566 |
| 52.39 | 462 |
| 23.50 | 394 |
| 37.85 | 386 |

Structure:
```
data_Rb2CdTe3
_space_group_name_H-M_alt 'P 1'
_space_group_IT_number 1
_cell_length_a 7.9743
_cell_length_b 4.9666
_cell_length_c 25.8120
_cell_angle_alpha 90.00
_cell_angle_beta 90.00
_cell_angle_gamma 90.00
loop_
_space_group_symop_operation_xyz
'x,y,z'
loop_
_atom_site_label
_atom_site_type_symbol
_atom_site_fract_x
_atom_site_fract_y
_atom_site_fract_z
Rb1 Rb 0.1582 0.2500 0.0763
Rb2 Rb 0.2476 0.7500 0.7749
Rb3 Rb 0.2524 0.2500 0.2749
Rb4 Rb 0.3418 0.7500 0.5763
Rb5 Rb 0.6582 0.2500 0.4237
Rb6 Rb 0.7476 0.7500 0.7251
Rb7 Rb 0.7524 0.2500 0.2251
Rb8 Rb 0.8418 0.7500 0.9237
Cd1 Cd 0.0307 0.7500 0.4451
Cd2 Cd 0.4693 0.2500 0.9451
Cd3 Cd 0.5307 0.7500 0.0549
Cd4 Cd 0.9693 0.2500 0.5549
Te1 Te 0.0655 0.2500 0.6620
Te2 Te 0.0878 0.7500 0.1772
Te3 Te 0.2132 0.2500 0.4702
Te4 Te 0.2868 0.7500 0.9702
Te5 Te 0.4122 0.2500 0.6772
Te6 Te 0.4345 0.7500 0.1620
Te7 Te 0.5655 0.2500 0.8380
Te8 Te 0.5878 0.7500 0.3228
Te9 Te 0.7132 0.2500 0.0298
Te10 Te 0.7868 0.7500 0.5298
Te11 Te 0.9122 0.2500 0.8228
Te12 Te 0.9345 0.7500 0.3380
```

7.
Diffraction record for Rb3Cd2Te4. The X-ray diffraction stick pattern is simulated, not measured: it uses DFT lattice parameters and positions (PBE) and Cu Kα.

Principal peaks in the range 2θ = 10–80°, most intense first:
| 2θ (°) | intensity |
| --- | --- |
| 28.00 | 1000 |
| 28.87 | 667 |
| 36.77 | 567 |
| 23.68 | 522 |
| 11.77 | 505 |
| 37.13 | 422 |
| 29.67 | 361 |
| 23.53 | 357 |
| 11.28 | 351 |
| 28.41 | 347 |

Structure:
```
data_Rb3Cd2Te4
_space_group_name_H-M_alt 'P 1'
_space_group_IT_number 1
_cell_length_a 4.8888
_cell_length_b 8.5502
_cell_length_c 9.8769
_cell_angle_alpha 112.63
_cell_angle_beta 104.33
_cell_angle_gamma 90.00
loop_
_space_group_symop_operation_xyz
'x,y,z'
loop_
_atom_site_label
_atom_site_type_symbol
_atom_site_fract_x
_atom_site_fract_y
_atom_site_fract_z
Rb1 Rb 0.0000 0.0000 0.0000
Rb2 Rb 0.1316 0.5525 0.2632
Rb3 Rb 0.8684 0.4475 0.7368
Cd1 Cd 0.3302 0.0386 0.6608
Cd2 Cd 0.6698 0.9614 0.3392
Te1 Te 0.2111 0.1758 0.4218
Te2 Te 0.4813 0.2943 0.9625
Te3 Te 0.5187 0.7057 0.0375
Te4 Te 0.7889 0.8242 0.5782
```

8.
Diffraction record for Rb2TlCd16. The X-ray diffraction stick pattern is simulated, not measured: it uses DFT lattice parameters and positions (PBE) and Cu Kα.

Principal peaks in the range 2θ = 10–80°, most intense first:
| 2θ (°) | intensity |
| --- | --- |
| 38.24 | 1000 |
| 34.15 | 902 |
| 33.79 | 693 |
| 35.22 | 621 |
| 29.15 | 370 |
| 39.21 | 362 |
| 30.41 | 333 |
| 11.23 | 291 |
| 60.45 | 283 |
| 62.49 | 244 |

Structure:
```
data_Rb2TlCd16
_space_group_name_H-M_alt 'P 1'
_space_group_IT_number 1
_cell_length_a 7.9708
_cell_length_b 7.9708
_cell_length_c 7.9708
_cell_angle_alpha 83.46
_cell_angle_beta 83.46
_cell_angle_gamma 83.46
loop_
_space_group_symop_operation_xyz
'x,y,z'
loop_
_atom_site_label
_atom_site_type_symbol
_atom_site_fract_x
_atom_site_fract_y
_atom_site_fract_z
Rb1 Rb 0.0000 0.0000 0.0000
Rb2 Rb 0.3179 0.3179 0.3179
Tl1 Tl 0.5567 0.5567 0.5567
Cd1 Cd 0.0108 0.0108 0.5015
Cd2 Cd 0.0108 0.5015 0.0108
Cd3 Cd 0.1494 0.6635 0.6635
Cd4 Cd 0.3045 0.3045 0.8171
Cd5 Cd 0.3045 0.8171 0.3045
Cd6 Cd 0.3609 0.6578 0.9565
Cd7 Cd 0.3609 0.9565 0.6578
Cd8 Cd 0.5015 0.0108 0.0108
Cd9 Cd 0.6578 0.3609 0.9565
Cd10 Cd 0.6578 0.9565 0.3609
Cd11 Cd 0.6635 0.1494 0.6635
Cd12 Cd 0.6635 0.6635 0.1494
Cd13 Cd 0.7595 0.7595 0.7595
Cd14 Cd 0.8171 0.3045 0.3045
Cd15 Cd 0.9565 0.3609 0.6578
Cd16 Cd 0.9565 0.6578 0.3609
```

9.
Diffraction record for Rb2Tl3Cd6. The X-ray diffraction stick pattern is simulated, not measured: it uses DFT lattice parameters and positions (PBE) and Cu Kα.

Principal peaks in the range 2θ = 10–80°, most intense first:
| 2θ (°) | intensity |
| --- | --- |
| 35.32 | 1000 |
| 26.61 | 561 |
| 35.85 | 313 |
| 30.31 | 307 |
| 19.71 | 289 |
| 41.74 | 251 |
| 56.17 | 211 |
| 29.01 | 201 |
| 47.63 | 173 |
| 64.08 | 171 |

Structure:
```
data_Rb2Tl3Cd6
_space_group_name_H-M_alt 'P 1'
_space_group_IT_number 1
_cell_length_a 9.0090
_cell_length_b 9.0090
_cell_length_c 5.0100
_cell_angle_alpha 90.00
_cell_angle_beta 90.00
_cell_angle_gamma 120.00
loop_
_space_group_symop_operation_xyz
'x,y,z'
loop_
_atom_site_label
_atom_site_type_symbol
_atom_site_fract_x
_atom_site_fract_y
_atom_site_fract_z
Rb1 Rb 0.3333 0.6667 0.0000
Rb2 Rb 0.6667 0.3333 0.0000
Tl1 Tl 0.0000 0.5978 0.5000
Tl2 Tl 0.4022 0.4022 0.5000
Tl3 Tl 0.5978 0.0000 0.5000
Cd1 Cd 0.0000 0.2482 0.5000
Cd2 Cd 0.0000 0.8071 0.0000
Cd3 Cd 0.1929 0.1929 0.0000
Cd4 Cd 0.2482 0.0000 0.5000
Cd5 Cd 0.7518 0.7518 0.5000
Cd6 Cd 0.8071 0.0000 0.0000
```

10.
Diffraction record for Rb5TlCd4. The X-ray diffraction stick pattern is simulated, not measured: it uses DFT lattice parameters and positions (PBE) and Cu Kα.

Principal peaks in the range 2θ = 10–80°, most intense first:
| 2θ (°) | intensity |
| --- | --- |
| 10.11 | 1000 |
| 26.36 | 462 |
| 32.54 | 382 |
| 25.21 | 317 |
| 31.85 | 312 |
| 29.21 | 304 |
| 37.18 | 237 |
| 28.23 | 231 |
| 47.49 | 196 |
| 15.67 | 168 |

Structure:
```
data_Rb5TlCd4
_space_group_name_H-M_alt 'P 1'
_space_group_IT_number 1
_cell_length_a 11.8813
_cell_length_b 11.8813
_cell_length_c 9.8399
_cell_angle_alpha 111.10
_cell_angle_beta 111.10
_cell_angle_gamma 23.49
loop_
_space_group_symop_operation_xyz
'x,y,z'
loop_
_atom_site_label
_atom_site_type_symbol
_atom_site_fract_x
_atom_site_fract_y
_atom_site_fract_z
Rb1 Rb 0.0000 0.0000 0.0000
Rb2 Rb 0.3031 0.3031 0.8921
Rb3 Rb 0.3603 0.3603 0.4971
Rb4 Rb 0.6397 0.6397 0.5029
Rb5 Rb 0.6969 0.6969 0.1079
Tl1 Tl 0.0000 0.0000 0.5000
Cd1 Cd 0.1238 0.1238 0.8032
Cd2 Cd 0.4596 0.4596 0.2766
Cd3 Cd 0.5404 0.5404 0.7234
Cd4 Cd 0.8762 0.8762 0.1968
```

11.
Diffraction record for Rb2Tl9Cd3. The X-ray diffraction stick pattern is simulated, not measured: it uses DFT lattice parameters and positions (PBE) and Cu Kα.

Principal peaks in the range 2θ = 10–80°, most intense first:
| 2θ (°) | intensity |
| --- | --- |
| 29.94 | 1000 |
| 32.31 | 758 |
| 36.03 | 521 |
| 30.08 | 481 |
| 32.57 | 395 |
| 31.29 | 256 |
| 34.03 | 248 |
| 56.38 | 234 |
| 35.72 | 229 |
| 56.15 | 200 |

Structure:
```
data_Rb2Tl9Cd3
_space_group_name_H-M_alt 'P 1'
_space_group_IT_number 1
_cell_length_a 9.5490
_cell_length_b 9.5490
_cell_length_c 12.7029
_cell_angle_alpha 112.19
_cell_angle_beta 112.19
_cell_angle_gamma 60.53
loop_
_space_group_symop_operation_xyz
'x,y,z'
loop_
_atom_site_label
_atom_site_type_symbol
_atom_site_fract_x
_atom_site_fract_y
_atom_site_fract_z
Rb1 Rb 0.0837 0.2567 0.2418
Rb2 Rb 0.2567 0.0837 0.7418
Rb3 Rb 0.7433 0.9163 0.2582
Rb4 Rb 0.9163 0.7433 0.7582
Tl1 Tl 0.0281 0.8601 0.0947
Tl2 Tl 0.1399 0.9719 0.4053
Tl3 Tl 0.1907 0.3656 0.5738
Tl4 Tl 0.2326 0.5681 0.2586
Tl5 Tl 0.3192 0.4917 0.9672
Tl6 Tl 0.3656 0.1907 0.0738
Tl7 Tl 0.3738 0.6262 0.7500
Tl8 Tl 0.4319 0.7674 0.2414
Tl9 Tl 0.4917 0.3192 0.4672
Tl10 Tl 0.5083 0.6808 0.5328
Tl11 Tl 0.5681 0.2326 0.7586
Tl12 Tl 0.6262 0.3738 0.2500
Tl13 Tl 0.6344 0.8093 0.9262
Tl14 Tl 0.6808 0.5083 0.0328
Tl15 Tl 0.7674 0.4319 0.7414
Tl16 Tl 0.8093 0.6344 0.4262
Tl17 Tl 0.8601 0.0281 0.5947
Tl18 Tl 0.9719 0.1399 0.9053
Cd1 Cd 0.0000 0.5000 0.0000
Cd2 Cd 0.1409 0.6894 0.5017
Cd3 Cd 0.3106 0.8591 0.9983
Cd4 Cd 0.5000 0.0000 0.5000
Cd5 Cd 0.6894 0.1409 0.0017
Cd6 Cd 0.8591 0.3106 0.4983
```

12.
Diffraction record for Rb3Tl9Cd2. The X-ray diffraction stick pattern is simulated, not measured: it uses DFT lattice parameters and positions (PBE) and Cu Kα.

Principal peaks in the range 2θ = 10–80°, most intense first:
| 2θ (°) | intensity |
| --- | --- |
| 28.49 | 1000 |
| 27.79 | 922 |
| 33.69 | 800 |
| 30.24 | 555 |
| 34.68 | 518 |
| 36.68 | 469 |
| 14.68 | 430 |
| 34.00 | 350 |
| 37.21 | 349 |
| 18.22 | 346 |

Structure:
```
data_Rb3Tl9Cd2
_space_group_name_H-M_alt 'P 1'
_space_group_IT_number 1
_cell_length_a 10.0548
_cell_length_b 10.0548
_cell_length_c 10.0548
_cell_angle_alpha 149.32
_cell_angle_beta 106.23
_cell_angle_gamma 81.98
loop_
_space_group_symop_operation_xyz
'x,y,z'
loop_
_atom_site_label
_atom_site_type_symbol
_atom_site_fract_x
_atom_site_fract_y
_atom_site_fract_z
Rb1 Rb 0.0000 0.0000 0.0000
Rb2 Rb 0.3058 0.3058 0.0000
Rb3 Rb 0.6942 0.6942 0.0000
Tl1 Tl 0.0291 0.6695 0.3597
Tl2 Tl 0.1496 0.8720 0.2776
Tl3 Tl 0.3098 0.6695 0.6403
Tl4 Tl 0.4056 0.1280 0.2776
Tl5 Tl 0.5000 0.0000 0.5000
Tl6 Tl 0.5944 0.8720 0.7224
Tl7 Tl 0.6902 0.3305 0.3597
Tl8 Tl 0.8504 0.1280 0.7224
Tl9 Tl 0.9709 0.3305 0.6403
Cd1 Cd 0.3029 0.5000 0.8029
Cd2 Cd 0.6971 0.5000 0.1971
```